Starting from a DFT-relaxed cell (GGA-PBE, Alexandria), the powder XRD pattern of LiZnGeAu was calculated for Cu Kα.
Peak positions follow from Bragg's law for the DFT cell and can differ from measured ones.

```
data_LiZnGeAu
_chemical_formula_sum 'Li2 Zn2 Ge2 Au2'
_symmetry_space_group_name_H-M 'C m m 2'
_symmetry_Int_Tables_number 35
_cell_length_a 4.6418
_cell_length_b 4.8092
_cell_length_c 5.7540
_cell_angle_alpha 90.00
_cell_angle_beta 90.00
_cell_angle_gamma 90.00
loop_
_symmetry_equiv_pos_as_xyz
'x,y,z'
'-x,-y,z'
'-x,y,z'
'x,-y,z'
'x+1/2,y+1/2,z'
'-x+1/2,-y+1/2,z'
'-x+1/2,y+1/2,z'
'x+1/2,-y+1/2,z'
loop_
_atom_site_label
_atom_site_fract_x
_atom_site_fract_y
_atom_site_fract_z
Li1 0.0000 0.0000 0.0000
Zn1 0.0000 0.0000 0.4949
Ge1 0.0000 0.5000 0.7498
Au1 0.0000 0.5000 0.2380
```

Top 6 peaks for 2θ from 5° to 70°, by angle:
- d = 5.754 Å, intensity 40, hkl 0 0 1
- d = 3.340 Å, intensity 50, hkl 1 1 0
- d = 2.889 Å, intensity 37, hkl 1 1 1
- d = 2.405 Å, intensity 33, hkl 0 2 0
- d = 2.321 Å, intensity 30, hkl 2 0 0
- d = 2.180 Å, intensity 100, hkl 1 1 2


Starting from a DFT-relaxed cell (GGA-PBE, Alexandria), the powder XRD pattern of LuGeAu was calculated for Cu Kα.
Peak positions follow from Bragg's law for the DFT cell and can differ from measured ones.

```
data_LuGeAu
_chemical_formula_sum 'Lu2 Ge2 Au2'
_symmetry_space_group_name_H-M 'P 63 m c'
_symmetry_Int_Tables_number 186
_symmetry_space_group_name_Hall 'P 6c -2c'
_cell_length_a 4.4404
_cell_length_b 4.4404
_cell_length_c 7.1490
_cell_angle_alpha 90.00
_cell_angle_beta 90.00
_cell_angle_gamma 120.00
loop_
_atom_site_label
_atom_site_fract_x
_atom_site_fract_y
_atom_site_fract_z
Lu1 0.0000 0.0000 0.0000
Ge1 0.3333 0.6667 0.2936
Au1 0.3333 0.6667 0.7001
```

Top 6 peaks for 2θ from 5° to 70°, by angle:
- d = 3.387 Å, intensity 35, hkl 1 0 1
- d = 2.618 Å, intensity 100, hkl 1 0 2
- d = 2.220 Å, intensity 76, hkl 1 1 0
- d = 2.026 Å, intensity 22, hkl 1 0 3
- d = 1.693 Å, intensity 27, hkl 2 0 2
- d = 1.346 Å, intensity 26, hkl 2 1 2


Starting from a DFT-relaxed cell (GGA-PBE, Alexandria), the powder XRD pattern of MgGe2Au2 was calculated for Cu Kα.
Peak positions follow from Bragg's law for the DFT cell and can differ from measured ones.

```
data_MgGe2Au2
_chemical_formula_sum 'Mg2 Ge4 Au4'
_symmetry_space_group_name_H-M 'P 4/m b m'
_symmetry_Int_Tables_number 127
_symmetry_space_group_name_Hall '-P 4 2ab'
_cell_length_a 7.3022
_cell_length_b 7.3022
_cell_length_c 3.7170
_cell_angle_alpha 90.00
_cell_angle_beta 90.00
_cell_angle_gamma 90.00
loop_
_atom_site_label
_atom_site_fract_x
_atom_site_fract_y
_atom_site_fract_z
Mg1 0.0000 0.0000 0.0000
Ge1 0.1648 0.3352 0.5000
Au1 0.1422 0.6422 0.0000
```

Top 6 peaks for 2θ from 5° to 70°, by angle:
- d = 5.163 Å, intensity 26, hkl 1 1 0
- d = 3.717 Å, intensity 15, hkl 0 0 1
- d = 3.266 Å, intensity 21, hkl 2 1 0
- d = 2.453 Å, intensity 100, hkl 2 1 1
- d = 2.309 Å, intensity 26, hkl 3 1 0
- d = 1.448 Å, intensity 12, hkl 3 1 2